No. 1
# LiFe2B2O6
Theoretical powder X-ray diffraction pattern, Cu Kα X-rays. Input: the PBE+U geometry in the Materials Project.
No peak broadening, texture or thermal motion is included.

Atomic structure:
```
LiFe2B2O6
1.0
5.283 0.000 0.000
-0.044 9.070 0.000
-2.387 -4.485 10.128
Li Fe B O
4 8 8 24
direct
0.000 0.000 0.000
0.063 0.371 0.760
0.245 0.220 0.490
0.566 0.857 0.745
0.022 0.343 0.026
0.078 0.717 0.774
0.271 0.901 0.522
0.336 0.291 0.272
0.521 0.831 0.030
0.569 0.219 0.776
0.768 0.421 0.520
0.824 0.798 0.285
0.023 0.676 0.027
0.077 0.050 0.784
0.287 0.579 0.535
0.316 0.954 0.278
0.526 0.163 0.022
0.569 0.546 0.778
0.768 0.093 0.526
0.833 0.464 0.277
0.044 0.416 0.218
0.049 0.585 0.571
0.114 0.530 0.003
0.140 0.790 0.994
0.198 0.843 0.312
0.226 0.099 0.296
0.283 0.191 0.054
0.307 0.025 0.742
0.387 0.428 0.491
0.422 0.716 0.553
0.423 0.418 0.770
0.488 0.703 0.828
0.529 0.102 0.561
0.537 0.911 0.226
0.639 0.027 0.021
0.651 0.270 0.988
0.725 0.601 0.284
0.731 0.364 0.328
0.800 0.527 0.732
0.805 0.717 0.079
0.877 0.948 0.480
0.908 0.233 0.542
0.942 0.930 0.799
0.981 0.203 0.818
```

Top 6 peaks for 10° ≤ 2θ ≤ 80°, sorted by position:
- (1 1 -1), 19.45°, rel. 43
- (0 2 -1), 19.58°, rel. 72
- (-1 1 1), 21.46°, rel. 100
- (1 1 -2), 21.57°, rel. 45
- (1 -1 2), 26.02°, rel. 68
- (0 0 4), 35.45°, rel. 96

No. 2
# LiFe8B8O24
Theoretical powder X-ray diffraction pattern, Cu Kα X-rays. Input: the PBE+U geometry in the Materials Project.
No peak broadening, texture or thermal motion is included.

Atomic structure:
```
LiFe8B8O24
1.0
5.220 0.000 0.000
-0.175 9.191 0.000
-2.434 -4.547 10.149
Li Fe B O
1 8 8 24
direct
0.000 0.000 0.000
0.027 0.362 0.028
0.064 0.076 0.775
0.278 0.936 0.525
0.317 0.655 0.276
0.514 0.841 0.029
0.561 0.569 0.777
0.776 0.436 0.523
0.808 0.148 0.273
0.002 0.691 0.025
0.059 0.398 0.774
0.280 0.608 0.525
0.317 0.315 0.271
0.527 0.185 0.026
0.557 0.900 0.780
0.778 0.110 0.524
0.824 0.819 0.280
0.021 0.583 0.520
0.100 0.836 0.328
0.131 0.590 0.081
0.133 0.821 0.028
0.154 0.196 0.265
0.217 0.426 0.221
0.247 0.167 0.983
0.313 0.418 0.773
0.371 0.975 0.721
0.372 0.714 0.477
0.466 0.529 0.577
0.467 0.787 0.817
0.521 0.083 0.519
0.590 0.330 0.322
0.646 0.078 0.073
0.668 0.701 0.281
0.677 0.302 0.018
0.719 0.926 0.230
0.733 0.650 0.968
0.822 0.947 0.805
0.866 0.470 0.718
0.869 0.212 0.474
0.968 0.036 0.582
0.979 0.298 0.830
```

Top 6 peaks for 10° ≤ 2θ ≤ 80°, sorted by position:
- (0 2 -1), 19.36°, rel. 51
- (1 1 -1), 19.72°, rel. 95
- (1 -1 1), 21.26°, rel. 100
- (0 2 1), 26.12°, rel. 66
- (-1 1 2), 26.27°, rel. 69
- (0 0 4), 35.38°, rel. 82

No. 3
# LiFe2B2O6
Theoretical powder X-ray diffraction pattern, Cu Kα X-rays. Input: the PBE+U geometry in the Materials Project.
No peak broadening, texture or thermal motion is included.

Atomic structure:
```
LiFe2B2O6
1.0
5.288 0.000 0.000
0.065 9.059 0.000
0.230 0.163 10.219
Li Fe B O
4 8 8 24
direct
0.000 0.000 0.000
0.002 0.973 0.502
0.199 0.489 0.269
0.689 0.982 0.761
0.012 0.340 0.030
0.015 0.640 0.536
0.192 0.153 0.283
0.195 0.820 0.776
0.498 0.157 0.536
0.507 0.810 0.031
0.685 0.323 0.790
0.690 0.662 0.291
0.003 0.310 0.528
0.027 0.666 0.049
0.175 0.159 0.793
0.188 0.817 0.285
0.509 0.145 0.032
0.517 0.830 0.534
0.684 0.326 0.282
0.697 0.653 0.789
0.047 0.288 0.827
0.051 0.025 0.801
0.057 0.688 0.317
0.084 0.952 0.307
0.115 0.438 0.497
0.121 0.176 0.483
0.143 0.795 0.000
0.152 0.537 0.064
0.256 0.152 0.080
0.260 0.823 0.566
0.429 0.801 0.231
0.430 0.164 0.754
0.542 0.202 0.319
0.568 0.782 0.836
0.575 0.463 0.284
0.581 0.520 0.801
0.628 0.009 0.021
0.639 0.270 0.992
0.642 0.711 0.477
0.654 0.955 0.563
0.774 0.681 0.091
0.776 0.294 0.598
0.932 0.672 0.733
0.940 0.308 0.245
```

Top 6 peaks for 10° ≤ 2θ ≤ 80°, sorted by position:
- (0 2 0), 19.60°, rel. 82
- (-1 1 1), 21.47°, rel. 100
- (1 -1 2), 26.07°, rel. 44
- (1 3 0), 34.09°, rel. 38
- (1 -3 0), 34.30°, rel. 36
- (0 0 4), 35.13°, rel. 99